Diffraction record for Ga3P. The powder diffraction line list is simulated, not measured: it uses the GGA-PBE geometry in the Materials Project and Cu Kα X-rays.
Neutral-atom scattering factors, no anomalous dispersion.

a = 3.7661 Å, b = 3.7661 Å, c = 10.3861 Å
α = 90.00°, β = 90.00°, γ = 90.00°
Fractional coordinates of all 8 atoms:
Ga 0.0000 0.0000 0.0000
Ga 0.0000 0.5000 0.2500
Ga 0.0000 0.5000 0.7500
Ga 0.5000 0.0000 0.2500
Ga 0.5000 0.0000 0.7500
Ga 0.5000 0.5000 0.5000
P 0.0000 0.0000 0.5000
P 0.5000 0.5000 0.0000

Peak list (10 most intense, 10° ≤ 2θ ≤ 90°, in order of rising 2θ)
- (0 0 2), 2θ = 17.07°, intensity 5
- (1 0 1), 2θ = 25.15°, intensity 8
- (0 0 4), 2θ = 34.54°, intensity 33
- (1 1 2), 2θ = 37.97°, intensity 100
- (2 0 0), 2θ = 48.33°, intensity 25
- (2 0 4), 2θ = 60.76°, intensity 24
- (1 1 6), 2θ = 64.17°, intensity 20
- (2 2 0), 2θ = 70.76°, intensity 8
- (2 2 4), 2θ = 81.18°, intensity 10
- (3 1 2), 2θ = 83.23°, intensity 19